# 1
Calculated XRD peak list of AcCdFeH6 for Cu Kα (λ = 1.5418 Å), from a crystal structure in Alexandria, relaxed with PBE.
Peak positions follow from Bragg's law for the DFT cell and can differ from measured ones.

Structure:
Unit cell a=4.7951 b=4.7951 c=4.5742 alpha=90.00 beta=90.00 gamma=120.00
Space group P-6m2 (No. 187)
Asymmetric unit:
Ac1 0.0000 0.0000 0.0000 (multiplicity 1)
Cd1 0.6667 0.3333 0.5000 (multiplicity 1)
Fe1 0.3333 0.6667 0.5000 (multiplicity 1)
H1 0.0646 0.5323 0.2447 (multiplicity 6)

Largest 12 diffraction maxima, in order of rising 2θ, 2θ from 5° to 70°:
| 2theta | I_rel |
| --- | --- |
| 21.40 | 195 |
| 29.04 | 1000 |
| 37.51 | 405 |
| 39.40 | 114 |
| 43.59 | 39 |
| 45.26 | 67 |
| 48.13 | 252 |
| 55.53 | 261 |
| 58.83 | 31 |
| 62.57 | 229 |
| 65.18 | 101 |
| 67.69 | 70 |

# 2
Calculated XRD peak list of AcCd9Ga3 for Cu Kα (λ = 1.5418 Å), from a crystal structure in Alexandria, relaxed with PBE.
Peak positions follow from Bragg's law for the DFT cell and can differ from measured ones.

Structure:
Unit cell a=5.8111 b=14.2325 c=7.7475 alpha=90.00 beta=111.42 gamma=90.00
Space group C2/m (No. 12)
Asymmetric unit:
Ac1 0.0000 0.0000 0.0000 (multiplicity 2)
Cd1 0.0000 0.0000 0.5000 (multiplicity 2)
Cd2 0.1053 0.3916 0.2146 (multiplicity 8)
Cd3 0.1792 0.1770 0.3548 (multiplicity 8)
Ga1 0.0000 0.5000 0.5000 (multiplicity 2)
Ga2 0.2500 0.2500 0.0000 (multiplicity 4)

Largest 12 diffraction maxima, in order of rising 2θ, 2θ from 5° to 70°:
| 2theta | I_rel |
| --- | --- |
| 24.97 | 151 |
| 30.52 | 214 |
| 30.74 | 520 |
| 35.16 | 306 |
| 35.46 | 1000 |
| 35.69 | 794 |
| 39.60 | 173 |
| 40.05 | 328 |
| 58.00 | 137 |
| 63.51 | 163 |
| 63.97 | 157 |
| 64.09 | 156 |

# 3
Calculated XRD peak list of AcCd3Ga3 for Cu Kα (λ = 1.5418 Å), from a crystal structure in Alexandria, relaxed with PBE.
Peak positions follow from Bragg's law for the DFT cell and can differ from measured ones.

Structure:
Unit cell a=7.9815 b=4.5586 c=8.9908 alpha=90.00 beta=90.10 gamma=90.00
Space group P2_1/m (No. 11)
Asymmetric unit:
Ac1 0.2499 0.2500 0.2386 (multiplicity 2)
Cd1 0.0583 0.2500 0.6238 (multiplicity 2)
Cd2 0.2500 0.7500 0.8400 (multiplicity 2)
Cd3 0.4417 0.2500 0.6230 (multiplicity 2)
Ga1 0.0105 0.7500 0.0713 (multiplicity 2)
Ga2 0.2495 0.7500 0.5289 (multiplicity 2)
Ga3 0.4892 0.7500 0.0721 (multiplicity 2)

Largest 12 diffraction maxima, in order of rising 2θ, 2θ from 5° to 70°:
| 2theta | I_rel |
| --- | --- |
| 27.87 | 131 |
| 29.94 | 183 |
| 30.08 | 248 |
| 31.41 | 1000 |
| 31.90 | 184 |
| 35.86 | 303 |
| 37.53 | 163 |
| 39.54 | 314 |
| 45.46 | 121 |
| 46.36 | 102 |
| 57.34 | 124 |
| 66.69 | 139 |

# 4
Calculated XRD peak list of Ac2Cd3Ga4 for Cu Kα (λ = 1.5418 Å), from a crystal structure in Alexandria, relaxed with PBE.
Peak positions follow from Bragg's law for the DFT cell and can differ from measured ones.

Structure:
Unit cell a=6.2436 b=16.6886 c=8.4888 alpha=90.00 beta=90.00 gamma=90.00
Space group Cmce (No. 64)
Asymmetric unit:
Ac1 0.0000 0.1098 0.0901 (multiplicity 8)
Cd1 0.0000 0.0000 0.5000 (multiplicity 4)
Cd2 0.2500 0.2203 0.7500 (multiplicity 8)
Ga1 0.0000 0.1773 0.4756 (multiplicity 8)
Ga2 0.2500 0.0560 0.7500 (multiplicity 8)

Largest 12 diffraction maxima, in order of rising 2θ, 2θ from 5° to 70°:
| 2theta | I_rel |
| --- | --- |
| 25.94 | 229 |
| 30.09 | 590 |
| 32.19 | 1000 |
| 32.38 | 529 |
| 33.44 | 575 |
| 33.92 | 348 |
| 35.70 | 745 |
| 35.93 | 299 |
| 46.02 | 214 |
| 48.12 | 234 |
| 52.96 | 242 |
| 54.83 | 294 |

# 5
Calculated XRD peak list of Ac3Cd2Ga3 for Cu Kα (λ = 1.5418 Å), from a crystal structure in Alexandria, relaxed with PBE.
Peak positions follow from Bragg's law for the DFT cell and can differ from measured ones.

Structure:
Unit cell a=4.8129 b=11.7906 c=15.9321 alpha=90.00 beta=90.00 gamma=90.00
Space group Cmcm (No. 63)
Asymmetric unit:
Ac1 0.0000 0.0820 0.1127 (multiplicity 8)
Ac2 0.0000 0.3607 0.2500 (multiplicity 4)
Cd1 0.0000 0.2131 0.5879 (multiplicity 8)
Ga1 0.0000 0.3413 0.7500 (multiplicity 4)
Ga2 0.0000 0.3990 0.0418 (multiplicity 8)

Largest 12 diffraction maxima, in order of rising 2θ, 2θ from 5° to 70°:
| 2theta | I_rel |
| --- | --- |
| 22.53 | 175 |
| 29.88 | 660 |
| 30.09 | 1000 |
| 31.46 | 182 |
| 31.93 | 234 |
| 33.76 | 237 |
| 33.94 | 550 |
| 34.81 | 158 |
| 37.17 | 209 |
| 37.37 | 431 |
| 50.00 | 296 |
| 58.01 | 148 |

# 6
Calculated XRD peak list of Ac2Cd3Ga5 for Cu Kα (λ = 1.5418 Å), from a crystal structure in Alexandria, relaxed with PBE.
Peak positions follow from Bragg's law for the DFT cell and can differ from measured ones.

Structure:
Unit cell a=4.6397 b=4.6397 c=11.1209 alpha=90.00 beta=90.00 gamma=90.00
Space group P-4m2 (No. 115)
Asymmetric unit:
Ac1 0.0000 0.5000 0.2340 (multiplicity 2)
Cd1 0.0000 0.5000 0.6431 (multiplicity 2)
Cd2 0.5000 0.5000 0.5000 (multiplicity 1)
Ga1 0.0000 0.0000 0.0000 (multiplicity 1)
Ga2 0.0000 0.0000 0.5000 (multiplicity 1)
Ga3 0.0000 0.5000 0.8815 (multiplicity 2)
Ga4 0.5000 0.5000 0.0000 (multiplicity 1)

Largest 12 diffraction maxima, in order of rising 2θ, 2θ from 5° to 70°:
| 2theta | I_rel |
| --- | --- |
| 20.74 | 109 |
| 27.18 | 261 |
| 30.88 | 664 |
| 31.67 | 1000 |
| 37.72 | 86 |
| 38.82 | 589 |
| 45.21 | 276 |
| 50.40 | 342 |
| 56.06 | 199 |
| 57.07 | 101 |
| 61.08 | 224 |
| 65.83 | 243 |

What did the fourth record say?
Calculated XRD peak list of Ac2Cd3Ga4 for Cu Kα (λ = 1.5418 Å), from a crystal structure in Alexandria, relaxed with PBE.
Peak positions follow from Bragg's law for the DFT cell and can differ from measured ones.

Structure:
Unit cell a=6.2436 b=16.6886 c=8.4888 alpha=90.00 beta=90.00 gamma=90.00
Space group Cmce (No. 64)
Asymmetric unit:
Ac1 0.0000 0.1098 0.0901 (multiplicity 8)
Cd1 0.0000 0.0000 0.5000 (multiplicity 4)
Cd2 0.2500 0.2203 0.7500 (multiplicity 8)
Ga1 0.0000 0.1773 0.4756 (multiplicity 8)
Ga2 0.2500 0.0560 0.7500 (multiplicity 8)

Largest 12 diffraction maxima, in order of rising 2θ, 2θ from 5° to 70°:
| 2theta | I_rel |
| --- | --- |
| 25.94 | 229 |
| 30.09 | 590 |
| 32.19 | 1000 |
| 32.38 | 529 |
| 33.44 | 575 |
| 33.92 | 348 |
| 35.70 | 745 |
| 35.93 | 299 |
| 46.02 | 214 |
| 48.12 | 234 |
| 52.96 | 242 |
| 54.83 | 294 |